Theoretical PXRD pattern of TaCrPb2O6 for Cu Kα X-rays, from a structure optimized by DFT (GGA+U).
No peak broadening, texture or thermal motion is included.

Crystal structure
a = 5.6712 Å, b = 5.6712 Å, c = 4.0853 Å
α = 90.00°, β = 90.00°, γ = 90.00°
Space group P4mm (No. 99)
One atom of each set of equivalent atoms:
Ta: 0.0000 0.0000 0.0000 x1
Cr: 0.5000 0.5000 0.0195 x1
Pb: 0.0000 0.5000 0.4730 x2
O: 0.0000 0.0000 0.5206 x1
O: 0.2464 0.2464 0.0334 x4
O: 0.5000 0.5000 0.5222 x1

Most intense lines, 2θ from 10° to 80°, in order of falling intensity:
- (1 1 1), 31.3°, 2.862 Å, intensity 100
- (2 0 0), 31.6°, 2.836 Å, intensity 49
- (3 1 1), 56.0°, 1.642 Å, intensity 40
- (2 2 0), 45.2°, 2.005 Å, intensity 27
- (2 0 2), 55.4°, 1.657 Å, intensity 20
- (2 2 2), 65.2°, 1.431 Å, intensity 16
- (0 0 2), 44.3°, 2.043 Å, intensity 13
- (2 0 1), 38.7°, 2.329 Å, intensity 12
- (1 0 0), 15.6°, 5.671 Å, intensity 11
- (4 2 0), 74.9°, 1.268 Å, intensity 9

***

Theoretical PXRD pattern of Na2CoP2O7 for Cu Kα X-rays, from a structure optimized by DFT (GGA+U).
No peak broadening, texture or thermal motion is included.

Crystal structure
a = 7.8703 Å, b = 7.8703 Å, c = 5.1523 Å
α = 90.00°, β = 90.00°, γ = 90.00°
Space group P-42_1m (No. 113)
One atom of each set of equivalent atoms:
Na: 0.1698 0.3302 0.4956 x4
Co: 0.0000 0.0000 0.0000 x2
P: 0.1384 0.6384 0.9276 x4
O: 0.0000 0.5000 0.8165 x2
O: 0.0796 0.8041 0.7924 x8
O: 0.1400 0.6400 0.2200 x4

Most intense lines, 2θ from 10° to 80°, in order of falling intensity:
- (2 1 1), 30.8°, 2.906 Å, intensity 100
- (0 0 1), 17.2°, 5.152 Å, intensity 77
- (2 0 1), 28.5°, 3.127 Å, intensity 53
- (3 1 2), 51.0°, 1.790 Å, intensity 50
- (3 1 0), 36.1°, 2.489 Å, intensity 39
- (1 1 1), 23.5°, 3.781 Å, intensity 36
- (2 1 0), 25.3°, 3.520 Å, intensity 33
- (3 1 1), 40.2°, 2.241 Å, intensity 24
- (2 2 1), 36.7°, 2.448 Å, intensity 23
- (1 1 2), 38.5°, 2.338 Å, intensity 19